Record 1
NdMg2GeN4: computed X-ray diffraction stick pattern (copper Kα), based on a cell relaxed with PBE.
Intensities are scaled so that the largest is 100.

Top 8 peaks for 10° ≤ 2θ ≤ 80°, in order of rising 2θ:
| 2θ (°) | intensity |
| --- | --- |
| 22.92 | 56 |
| 25.48 | 17 |
| 32.64 | 39 |
| 34.54 | 100 |
| 41.86 | 24 |
| 46.83 | 26 |
| 59.47 | 41 |
| 63.07 | 21 |

Atomic structure:
a b c (Å): 5.4876 5.4876 6.9903
angles (deg): 90.00 90.00 90.00
Fractional positions:
Nd  0.0000  0.0000  0.0000
Nd  0.5000  0.5000  0.5000
Mg  0.0000  0.5000  0.2500
Mg  0.0000  0.5000  0.7500
Mg  0.5000  0.0000  0.2500
Mg  0.5000  0.0000  0.7500
Ge  0.0000  0.0000  0.5000
Ge  0.5000  0.5000  0.0000
N  0.2065  0.2065  0.3580
N  0.2065  0.7935  0.6420
N  0.2935  0.2935  0.8580
N  0.2935  0.7065  0.1420
N  0.7065  0.2935  0.1420
N  0.7065  0.7065  0.8580
N  0.7935  0.2065  0.6420
N  0.7935  0.7935  0.3580

=====

Record 2
Sr3MgGeN4: computed X-ray diffraction stick pattern (copper Kα), based on a cell relaxed with PBE.
Intensities are scaled so that the largest is 100.

Top 8 peaks for 10° ≤ 2θ ≤ 80°, in order of rising 2θ:
| 2θ (°) | intensity |
| --- | --- |
| 27.26 | 80 |
| 31.08 | 29 |
| 31.44 | 100 |
| 32.62 | 40 |
| 35.12 | 61 |
| 35.80 | 44 |
| 57.00 | 32 |
| 65.60 | 28 |

Atomic structure:
a b c (Å): 5.9885 10.4261 9.7016
angles (deg): 90.00 90.00 90.00
Fractional positions:
Sr  0.1119  0.1525  0.0915
Sr  0.1119  0.3475  0.4085
Sr  0.2500  0.0000  0.4091
Sr  0.2500  0.5000  0.0909
Sr  0.3881  0.6525  0.4085
Sr  0.3881  0.8475  0.0915
Sr  0.6119  0.1525  0.9085
Sr  0.6119  0.3475  0.5915
Sr  0.7500  0.0000  0.5909
Sr  0.7500  0.5000  0.9091
Sr  0.8881  0.6525  0.5915
Sr  0.8881  0.8475  0.9085
Mg  0.1572  0.2500  0.7500
Mg  0.3428  0.7500  0.7500
Mg  0.6572  0.2500  0.2500
Mg  0.8428  0.7500  0.2500
Ge  0.2500  0.0000  0.7328
Ge  0.2500  0.5000  0.7672
Ge  0.7500  0.0000  0.2672
Ge  0.7500  0.5000  0.2328
N  0.0146  0.0844  0.8371
N  0.0146  0.4156  0.6629
N  0.1153  0.6358  0.8708
N  0.1153  0.8642  0.6292
N  0.3847  0.1358  0.6292
N  0.3847  0.3642  0.8708
N  0.4854  0.5844  0.6629
N  0.4854  0.9156  0.8371
N  0.5146  0.0844  0.1629
N  0.5146  0.4156  0.3371
N  0.6153  0.6358  0.1292
N  0.6153  0.8642  0.3708
N  0.8847  0.1358  0.3708
N  0.8847  0.3642  0.1292
N  0.9854  0.5844  0.3371
N  0.9854  0.9156  0.1629